1.
Diffraction record for SrPa2Cl11. The PXRD pattern is computed, not measured: it uses the PBE geometry in Alexandria and λ = 1.5418 Å (Cu Kα).

Largest 6 diffraction maxima, low angle first, 2θ = 10–80°:
- (0 0 2), 2θ = 13.0°, rel. 41
- (1 1 2), 2θ = 16.7°, rel. 34
- (1 2 1), 2θ = 17.8°, rel. 100
- (2 0 2), 2θ = 19.8°, rel. 34
- (3 3 2), 2θ = 34.5°, rel. 33
- (4 1 3), 2θ = 36.8°, rel. 24

Atomic structure:
a = 11.943 Å, b = 11.955 Å, c = 13.631 Å
α = 90.00°, β = 90.00°, γ = 90.00°
Space group Ibam (No. 72)
Symmetry-distinct sites (fractional):
Sr 0.000 0.000 0.250
Pa 0.165 0.335 0.000
Cl 0.000 0.500 0.000
Cl 0.062 0.219 0.134
Cl 0.188 0.311 0.500
Cl 0.218 0.061 0.366

2.
Diffraction record for Li4TiTe3O12. The PXRD pattern is computed, not measured: it uses the PBE geometry in Alexandria and λ = 1.5418 Å (Cu Kα).

Largest 6 diffraction maxima, low angle first, 2θ = 10–80°:
- (0 1 1), 2θ = 19.8°, rel. 42
- (1 1 0), 2θ = 20.2°, rel. 100
- (1 2 -1), 2θ = 31.2°, rel. 37
- (1 2 1), 2θ = 32.6°, rel. 33
- (0 3 1), 2θ = 35.0°, rel. 17
- (2 3 -1), 2θ = 49.8°, rel. 14

Atomic structure:
a = 5.074 Å, b = 8.837 Å, c = 5.209 Å
α = 90.00°, β = 93.97°, γ = 90.00°
Space group P2 (No. 3)
Symmetry-distinct sites (fractional):
Li 0.000 0.000 0.000
Li 0.000 0.296 0.500
Li 0.500 0.469 0.500
Li 0.500 0.862 0.000
Ti 0.500 0.059 0.500
Te 0.000 0.562 0.000
Te 0.000 0.763 0.500
Te 0.500 0.243 0.000
O 0.202 0.742 0.834
O 0.216 0.604 0.353
O 0.234 0.913 0.365
O 0.284 0.390 0.811
O 0.290 0.221 0.298
O 0.304 0.075 0.815